Starting from a DFT-relaxed cell (GGA+U, Alexandria), the X-ray diffraction stick pattern of CrBRhO4 was simulated for copper Kα.
No peak broadening, texture or thermal motion is included.

Main lines, sorted by position (2θ = 10–90°):
| Position (°2θ) | d (Å) | I_rel |
| --- | --- | --- |
| 24.72 | 3.601 | 100.0 |
| 34.17 | 2.624 | 47.8 |
| 34.92 | 2.570 | 53.0 |
| 36.30 | 2.475 | 24.0 |
| 38.26 | 2.353 | 46.8 |
| 40.90 | 2.206 | 14.7 |
| 41.31 | 2.185 | 19.2 |
| 45.98 | 1.974 | 14.3 |
| 47.72 | 1.906 | 39.2 |
| 48.28 | 1.885 | 16.6 |
| 50.70 | 1.801 | 47.7 |
| 68.75 | 1.365 | 20.8 |

Structural model:
Cell lengths 4.741, 4.741, 6.353 Å; angles 90.00, 90.00, 112.77 degrees
Positions (direct):
Cr  0.000  0.000  0.000
Cr  0.000  0.000  0.500
B  0.349  0.651  0.750
B  0.651  0.349  0.250
Rh  0.296  0.704  0.250
Rh  0.704  0.296  0.750
O  0.228  0.294  0.750
O  0.248  0.752  0.563
O  0.248  0.752  0.937
O  0.294  0.228  0.250
O  0.706  0.772  0.750
O  0.752  0.248  0.063
O  0.752  0.248  0.437
O  0.772  0.706  0.250